# Mn3Fe8N8
Calculated powder X-ray diffraction pattern, Cu Kα (λ = 1.5418 Å). Input: a GGA-PBE-relaxed structure.

Crystal structure
Cell lengths 14.6654, 3.6921, 8.5909 Å; angles 90.00, 124.41, 90.00 degrees
Space group C2/m (No. 12)
Symmetry-distinct sites (fractional):
Mn (0.0000, 0.0000, 0.0000) [2 per cell]
Mn (0.2084, 0.5000, 0.7499) [4 per cell]
Fe (0.0557, 0.5000, 0.2963) [4 per cell]
Fe (0.0573, 0.0000, 0.6751) [4 per cell]
Fe (0.1461, 0.5000, 0.0348) [4 per cell]
Fe (0.1743, 0.0000, 0.5168) [4 per cell]
N (0.0558, 0.0000, 0.2632) [4 per cell]
N (0.0961, 0.5000, 0.7805) [4 per cell]
N (0.1520, 0.0000, 0.0624) [4 per cell]
N (0.2058, 0.5000, 0.5381) [4 per cell]

Peak list (8 most intense, 2θ = 10–90°, by angle)
(hkl)	two_theta	I (rel.)
4 0 -2	25.7	31.4
2 0 -3	31.9	52.4
6 0 -2	36.8	43.6
5 1 -2	39.5	68.9
3 1 1	39.7	100.0
3 1 -3	39.8	51.2
0 2 0	49.4	73.2
8 0 -5	59.0	25.5

---

# MnIn2Se2S2
Calculated powder X-ray diffraction pattern, Cu Kα (λ = 1.5418 Å). Input: a GGA-PBE-relaxed structure.

Crystal structure
Cell lengths 4.0552, 4.0552, 40.7935 Å; angles 90.00, 90.00, 120.00 degrees
Space group R3m (No. 160, hexagonal axes)
Symmetry-distinct sites (fractional):
Mn (0.0000, 0.0000, 0.0000) [3 per cell]
In (0.0000, 0.0000, 0.2330) [3 per cell]
In (0.0000, 0.0000, 0.4628) [3 per cell]
Se (0.0000, 0.0000, 0.5268) [3 per cell]
Se (0.0000, 0.0000, 0.9341) [3 per cell]
S (0.0000, 0.0000, 0.1048) [3 per cell]
S (0.0000, 0.0000, 0.3446) [3 per cell]

Peak list (8 most intense, 2θ = 10–90°, by angle)
(hkl)	two_theta	I (rel.)
0 0 9	19.6	61.4
1 0 1	25.5	37.5
0 1 2	25.7	51.6
1 0 4	26.8	100.0
1 0 10	33.7	40.0
1 0 13	38.5	59.6
1 1 0	44.7	90.1
0 1 17	45.8	72.7

---

# KRbFe4S6
Calculated powder X-ray diffraction pattern, Cu Kα (λ = 1.5418 Å). Input: a GGA-PBE-relaxed structure.

Crystal structure
Cell lengths 5.1776, 8.9776, 11.2427 Å; angles 90.00, 90.00, 90.00 degrees
Space group Amm2 (No. 38)
Symmetry-distinct sites (fractional):
K (0.0000, 0.0000, 0.0000) [2 per cell]
Rb (0.5000, 0.0000, 0.3411) [2 per cell]
Fe (0.2502, 0.1418, 0.6701) [8 per cell]
S (0.0000, 0.0000, 0.5620) [2 per cell]
S (0.0000, 0.2270, 0.2778) [4 per cell]
S (0.5000, 0.0000, 0.7785) [2 per cell]
S (0.5000, 0.2238, 0.0640) [4 per cell]

Peak list (8 most intense, 2θ = 10–90°, by angle)
(hkl)	two_theta	I (rel.)
0 1 1	12.6	86.1
0 0 2	15.8	71.0
0 1 3	25.8	58.3
1 2 2	30.8	100.0
2 1 1	37.0	21.6
2 0 4	47.8	33.4
0 4 4	52.2	21.8
2 4 0	54.1	29.4

---

# Ti2ZnP2O8
Calculated powder X-ray diffraction pattern, Cu Kα (λ = 1.5418 Å). Input: a GGA-PBE-relaxed structure.

Crystal structure
Cell lengths 17.0200, 5.1445, 16.7721 Å; angles 90.00, 116.93, 90.00 degrees
Space group C2/c (No. 15)
Symmetry-distinct sites (fractional):
Ti (0.0000, 0.1846, 0.2500) [4 per cell]
Ti (0.0876, 0.2003, 0.4569) [8 per cell]
Ti (0.2500, 0.2500, 0.0000) [4 per cell]
Zn (0.1737, 0.1850, 0.1643) [8 per cell]
P (0.0118, 0.2803, 0.6169) [8 per cell]
P (0.2237, 0.2335, 0.3689) [8 per cell]
O (0.0135, 0.4286, 0.1458) [8 per cell]
O (0.0523, 0.0998, 0.6990) [8 per cell]
O (0.0628, 0.2644, 0.5608) [8 per cell]
O (0.0880, 0.2028, 0.9433) [8 per cell]
O (0.1266, 0.2546, 0.3539) [8 per cell]
O (0.2192, 0.0909, 0.5483) [8 per cell]
O (0.2336, 0.3480, 0.2890) [8 per cell]
O (0.2443, 0.4474, 0.1072) [8 per cell]

Peak list (8 most intense, 2θ = 10–90°, by angle)
(hkl)	two_theta	I (rel.)
1 1 -1	18.3	27.6
4 0 0	23.4	34.0
3 1 1	27.2	100.0
5 1 -3	31.8	63.5
3 1 -5	32.1	65.7
2 0 -6	32.4	52.3
0 2 0	34.9	53.1
3 1 3	35.1	27.8